Simulated X-ray diffraction stick pattern
Compound: Li3Fe8B8O24
Radiation: copper Kα
Structure: a GGA+U-relaxed structure

Cell: 5.2391 9.0558 10.1584 Å, 89.78 89.76 89.57°
Fractional positions:
Li1 0.0000 0.0000 0.0000
Li2 0.0335 0.9913 0.5023
Li3 0.6803 0.6448 0.2340
Fe1 0.0155 0.6545 0.9650
Fe2 0.0180 0.3316 0.4615
Fe3 0.1710 0.8249 0.2218
Fe4 0.1808 0.4848 0.7120
Fe5 0.4945 0.1685 0.9639
Fe6 0.5262 0.8083 0.4715
Fe7 0.6644 0.9849 0.7197
Fe8 0.6666 0.3067 0.2129
B1 0.0124 0.6549 0.4608
B2 0.1741 0.8173 0.7156
B3 0.1752 0.4868 0.2141
B4 0.5175 0.1512 0.4652
B5 0.5175 0.8241 0.9644
B6 0.6673 0.9834 0.2088
B7 0.6828 0.3218 0.7082
B8 0.9947 0.3185 0.9636
O1 0.0157 0.9348 0.6950
O2 0.0181 0.3774 0.2671
O3 0.0519 0.6136 0.1642
O4 0.0788 0.6845 0.7657
O5 0.0921 0.4509 0.9098
O6 0.1251 0.1911 0.9547
O7 0.1432 0.7858 0.4348
O8 0.1503 0.5305 0.5095
O9 0.2534 0.8250 0.9906
O10 0.2571 0.1658 0.4694
O11 0.4307 0.8252 0.6829
O12 0.4330 0.4743 0.2148
O13 0.5275 0.1124 0.1788
O14 0.5279 0.4413 0.7079
O15 0.5442 0.8579 0.2551
O16 0.6017 0.1885 0.7590
O17 0.6320 0.9545 0.9183
O18 0.6444 0.0258 0.5145
O19 0.6660 0.7032 0.9869
O20 0.6717 0.2619 0.4124
O21 0.7558 0.3253 0.0238
O22 0.7608 0.6412 0.4333
O23 0.9253 0.9844 0.1878
O24 0.9346 0.3301 0.6582

Top 6 peaks for 10° ≤ 2θ ≤ 90°, low angle first:
index	two_theta	I (rel.)
1 -1 0	19.64	75
0 2 -1	21.52	100
0 2 2	26.27	69
0 2 -2	26.40	50
2 0 0	34.21	59
0 0 4	35.34	89